1.
Starting from a PBE-relaxed structure, the XRD peak list of Sc2TaOs was calculated for a wavelength of 1.5418 Å.
No peak broadening, texture or thermal motion is included.

Main lines, sorted by position (10° ≤ 2θ ≤ 90°):
4.523 Å, rel. 67; 2.892 Å, rel. 25; 2.437 Å, rel. 75; 2.313 Å, rel. 100; 2.261 Å, rel. 32; 1.616 Å, rel. 22

```
data_Sc2TaOs
_symmetry_space_group_name_H-M 'P 1'
_symmetry_Int_Tables_number 1
_cell_length_a 3.006
_cell_length_b 4.523
_cell_length_c 5.587
_cell_angle_alpha 90.00
_cell_angle_beta 105.33
_cell_angle_gamma 90.00
loop_
_symmetry_equiv_pos_as_xyz
'x,y,z'
loop_
_atom_site_label
_atom_site_type_symbol
_atom_site_fract_x
_atom_site_fract_y
_atom_site_fract_z
Sc1 Sc 0.181 0.000 0.263
Sc2 Sc 0.819 0.000 0.737
Ta1 Ta 0.500 0.500 0.000
Os1 Os 0.000 0.500 0.500
```

2.
Starting from a PBE-relaxed structure, the XRD peak list of Sc8Tc2Os was calculated for a wavelength of 1.5418 Å.
No peak broadening, texture or thermal motion is included.

Main lines, sorted by position (10° ≤ 2θ ≤ 90°):
4.095 Å, rel. 58; 3.831 Å, rel. 51; 3.750 Å, rel. 76; 2.392 Å, rel. 100; 2.306 Å, rel. 69; 2.283 Å, rel. 74

```
data_Sc8Tc2Os
_symmetry_space_group_name_H-M 'P 1'
_symmetry_Int_Tables_number 1
_cell_length_a 8.323
_cell_length_b 8.323
_cell_length_c 6.451
_cell_angle_alpha 108.98
_cell_angle_beta 108.98
_cell_angle_gamma 32.18
loop_
_symmetry_equiv_pos_as_xyz
'x,y,z'
loop_
_atom_site_label
_atom_site_type_symbol
_atom_site_fract_x
_atom_site_fract_y
_atom_site_fract_z
Sc1 Sc 0.024 0.024 0.287
Sc2 Sc 0.197 0.197 0.794
Sc3 Sc 0.336 0.336 0.549
Sc4 Sc 0.399 0.399 0.057
Sc5 Sc 0.601 0.601 0.943
Sc6 Sc 0.664 0.664 0.451
Sc7 Sc 0.803 0.803 0.206
Sc8 Sc 0.976 0.976 0.713
Tc1 Tc 0.179 0.179 0.187
Tc2 Tc 0.821 0.821 0.813
Os1 Os 0.500 0.500 0.500
```

3.
Starting from a PBE-relaxed structure, the XRD peak list of ScTe2Os was calculated for a wavelength of 1.5418 Å.
No peak broadening, texture or thermal motion is included.

Main lines, sorted by position (10° ≤ 2θ ≤ 90°):
7.470 Å, rel. 75; 3.250 Å, rel. 36; 2.595 Å, rel. 91; 2.552 Å, rel. 100; 2.049 Å, rel. 82; 1.354 Å, rel. 42

```
data_ScTe2Os
_symmetry_space_group_name_H-M 'P 1'
_symmetry_Int_Tables_number 1
_cell_length_a 3.609
_cell_length_b 3.609
_cell_length_c 7.470
_cell_angle_alpha 90.00
_cell_angle_beta 90.00
_cell_angle_gamma 90.00
loop_
_symmetry_equiv_pos_as_xyz
'x,y,z'
loop_
_atom_site_label
_atom_site_type_symbol
_atom_site_fract_x
_atom_site_fract_y
_atom_site_fract_z
Sc1 Sc 0.000 0.000 0.000
Te1 Te 0.000 0.000 0.613
Te2 Te 0.500 0.500 0.171
Os1 Os 0.500 0.500 0.783
```

4.
Starting from a PBE-relaxed structure, the XRD peak list of ScTe2Os was calculated for a wavelength of 1.5418 Å.
No peak broadening, texture or thermal motion is included.

Main lines, sorted by position (10° ≤ 2θ ≤ 90°):
6.856 Å, rel. 47; 4.097 Å, rel. 22; 3.428 Å, rel. 44; 2.422 Å, rel. 100; 2.147 Å, rel. 21; 1.713 Å, rel. 25

```
data_ScTe2Os
_symmetry_space_group_name_H-M 'P 1'
_symmetry_Int_Tables_number 1
_cell_length_a 3.244
_cell_length_b 4.294
_cell_length_c 13.712
_cell_angle_alpha 90.00
_cell_angle_beta 90.00
_cell_angle_gamma 90.00
loop_
_symmetry_equiv_pos_as_xyz
'x,y,z'
loop_
_atom_site_label
_atom_site_type_symbol
_atom_site_fract_x
_atom_site_fract_y
_atom_site_fract_z
Sc1 Sc 0.000 0.000 0.000
Sc2 Sc 0.500 0.500 0.500
Te1 Te 0.000 0.000 0.618
Te2 Te 0.000 0.500 0.856
Te3 Te 0.500 0.000 0.356
Te4 Te 0.500 0.500 0.118
Os1 Os 0.000 0.500 0.334
Os2 Os 0.500 0.000 0.834
```